Structure and computed powder diffractogram of AcHo4Hg5 (a crystal structure in Alexandria, relaxed with PBE; Cu Kα).
Kinematic intensities with the Lorentz-polarization factor, no thermal factor.

Main lines, most intense first (2θ from 5° to 70°):
2.676 Å, I 100, (1 0 5)
2.650 Å, I 56, (1 1 0)
1.535 Å, I 38, (2 1 5)
1.874 Å, I 21, (2 0 0)
1.550 Å, I 13, (1 1 10)
1.910 Å, I 6, (0 0 10)
2.427 Å, I 6, (1 0 6)
1.453 Å, I 5, (1 1 11)
2.948 Å, I 4, (1 0 4)
1.483 Å, I 3, (2 1 6)

```
10
Lattice="3.748 0.000 0.000 0.000 3.748 0.000 0.000 0.000 19.102" Properties=species:S:1:pos:R:3 pbc="T T T"
Ac 0.000 0.000 0.000
Ho 0.000 0.000 4.055
Ho 0.000 0.000 7.725
Ho 0.000 0.000 11.378
Ho 0.000 0.000 15.047
Hg 1.874 1.874 2.311
Hg 1.874 1.874 5.890
Hg 1.874 1.874 9.551
Hg 1.874 1.874 13.212
Hg 1.874 1.874 16.792
```